Entry 1:
Zr3ZnCu2: simulated X-ray powder pattern (Cu Kα (weighted mean of Kα1 and Kα2)), based on a cell relaxed with PBE.
No peak broadening, texture or thermal motion is included.

Main lines, sorted by position (15° ≤ 2θ ≤ 90°):
d_spacing	2theta	Rel. int.	(hkl)
2.730	32.80	15	3 3 1
2.429	37.00	36	4 2 2
2.290	39.34	100	3 3 3
2.104	42.99	32	4 4 0
1.984	45.74	9	4 4 2
1.454	64.04	9	7 3 3
1.403	66.68	34	6 6 0
1.374	68.25	9	5 5 5
1.196	80.26	17	9 3 3
1.151	84.14	6	7 7 3

Crystal structure
a b c (Å): 11.9015 11.9015 11.9015
angles (deg): 90.00 90.00 90.00
Space group Fd-3m (No. 227, origin choice 2)
Asymmetric unit:
Zr 0.0718 0.3750 0.3750
Zn 0.0000 0.0000 0.5000
Cu 0.0445 0.0445 0.7055

---

Entry 2:
Ag2N: simulated X-ray powder pattern (Cu Kα (weighted mean of Kα1 and Kα2)), based on a cell relaxed with PBE.
No peak broadening, texture or thermal motion is included.

Main lines, sorted by position (15° ≤ 2θ ≤ 90°):
d_spacing	2theta	Rel. int.	(hkl)
5.840	15.17	11	1 0 0
2.607	34.40	53	2 0 -2
2.599	34.51	52	0 2 0
2.546	35.26	100	2 1 0
2.394	37.57	74	0 1 2
2.328	38.68	40	1 2 -1
1.970	46.07	20	1 1 2
1.841	49.53	38	2 2 -2
1.528	60.61	16	4 1 -2
1.490	62.31	12	2 3 0

Crystal structure
a b c (Å): 6.4471 5.1979 5.9547
angles (deg): 90.00 115.07 90.00
Space group P2_1/c (No. 14)
Asymmetric unit:
Ag 0.0871 0.2011 0.3790
Ag 0.3359 0.7256 0.5557
N 0.3150 0.0463 0.7749

---

Entry 3:
Ta3Nb4Co6: simulated X-ray powder pattern (Cu Kα (weighted mean of Kα1 and Kα2)), based on a cell relaxed with PBE.
No peak broadening, texture or thermal motion is included.

Main lines, sorted by position (15° ≤ 2θ ≤ 90°):
d_spacing	2theta	Rel. int.	(hkl)
2.482	36.20	85	1 1 0
2.232	40.42	32	1 0 10
2.176	41.50	17	0 0 12
2.156	41.91	100	1 1 6
2.078	43.55	40	0 1 11
1.987	45.65	23	2 0 5
1.886	48.26	26	1 1 9
1.361	69.01	23	0 3 6
1.341	70.20	19	1 2 11
1.241	76.82	24	2 2 0

Crystal structure
a b c (Å): 4.9633 4.9633 26.1137
angles (deg): 90.00 90.00 120.00
Space group R-3m (No. 166, hexagonal axes)
Asymmetric unit:
Ta 0.0000 0.0000 0.0000
Ta 0.0000 0.0000 0.3465
Nb 0.0000 0.0000 0.1660
Nb 0.0000 0.0000 0.4506
Co 0.0084 0.5042 0.4109

---

Entry 4:
AgPdSO: simulated X-ray powder pattern (Cu Kα (weighted mean of Kα1 and Kα2)), based on a cell relaxed with PBE.
No peak broadening, texture or thermal motion is included.

Main lines, sorted by position (15° ≤ 2θ ≤ 90°):
d_spacing	2theta	Rel. int.	(hkl)
3.490	25.52	24	0 2 0
3.022	29.56	43	1 2 0
2.908	30.74	34	0 0 2
2.681	33.42	100	2 0 1
2.234	40.37	17	0 2 2
2.126	42.53	27	2 2 1
2.095	43.18	39	1 2 2
1.670	54.97	20	3 2 1
1.632	56.39	18	2 0 3
1.611	57.19	19	1 4 1

Crystal structure
a b c (Å): 6.0396 6.9803 5.8165
angles (deg): 90.00 90.00 90.00
Space group Pca2_1 (No. 29)
Asymmetric unit:
Ag 0.1811 0.1557 0.0000
Pd 0.1177 0.6990 0.0719
S 0.0176 0.5899 0.7096
O 0.1903 0.8847 0.3705

---

Entry 5:
KGdCu4S4: simulated X-ray powder pattern (Cu Kα (weighted mean of Kα1 and Kα2)), based on a cell relaxed with PBE.
No peak broadening, texture or thermal motion is included.

Main lines, sorted by position (15° ≤ 2θ ≤ 90°):
d_spacing	2theta	Rel. int.	(hkl)
4.540	19.55	22	1 0 -2
3.663	24.30	38	1 1 -2
2.972	30.07	22	1 1 2
2.793	32.04	100	0 1 3
2.500	35.92	26	2 1 -3
2.286	39.41	53	1 2 2
2.270	39.71	22	2 2 0
2.236	40.33	21	2 1 2
2.029	44.66	23	3 0 1
1.845	49.40	22	3 1 -4

Crystal structure
a b c (Å): 6.9970 6.1966 9.8550
angles (deg): 90.00 107.63 90.00
Space group P2_1 (No. 4)
Asymmetric unit:
K 0.1070 0.0000 0.1305
Gd 0.3361 0.7811 0.7810
Cu 0.1631 0.6666 0.4235
Cu 0.2140 0.2462 0.5597
Cu 0.3492 0.2102 0.9141
Cu 0.4858 0.9573 0.5082
S 0.0399 0.5499 0.6003
S 0.0633 0.0405 0.8020
S 0.3571 0.5308 0.0133
S 0.4438 0.7190 0.3387

---

Entry 6:
AgBi2: simulated X-ray powder pattern (Cu Kα (weighted mean of Kα1 and Kα2)), based on a cell relaxed with PBE.
No peak broadening, texture or thermal motion is included.

Main lines, sorted by position (15° ≤ 2θ ≤ 90°):
d_spacing	2theta	Rel. int.	(hkl)
3.441	25.90	10	0 0 4
3.315	26.90	12	1 0 1
2.739	32.69	100	1 0 3
2.415	37.23	39	1 1 0
2.294	39.28	11	0 0 6
1.977	45.91	9	1 1 4
1.708	53.67	14	2 0 0
1.704	53.80	9	1 0 7
1.663	55.23	16	1 1 6
1.449	64.28	29	2 1 3

Crystal structure
a b c (Å): 3.4152 3.4152 13.7623
angles (deg): 90.00 90.00 90.00
Space group I4/mmm (No. 139)
Asymmetric unit:
Ag 0.0000 0.0000 0.0000
Bi 0.0000 0.0000 0.3525

---

Entry 7:
Zn17Cd2: simulated X-ray powder pattern (Cu Kα (weighted mean of Kα1 and Kα2)), based on a cell relaxed with PBE.
No peak broadening, texture or thermal motion is included.

Main lines, sorted by position (15° ≤ 2θ ≤ 90°):
d_spacing	2theta	Rel. int.	(hkl)
2.620	34.22	39	3 0 0
2.497	35.96	30	0 2 4
2.269	39.72	62	2 2 0
2.239	40.28	100	0 3 3
2.158	41.86	51	0 0 6
2.008	45.15	51	2 2 3
1.427	65.38	16	3 3 3
1.310	72.10	22	6 0 0
1.260	75.43	19	0 3 9
1.120	87.04	15	6 0 6

Crystal structure
a b c (Å): 9.0760 9.0760 12.9374
angles (deg): 90.00 90.00 120.00
Space group R-3m (No. 166, hexagonal axes)
Asymmetric unit:
Zn 0.0000 0.0000 0.1040
Zn 0.0000 0.3003 0.0000
Zn 0.0000 0.5000 0.5000
Zn 0.0076 0.5038 0.1501
Cd 0.0000 0.0000 0.3423

---

Entry 8:
Gd2Ho2O5: simulated X-ray powder pattern (Cu Kα (weighted mean of Kα1 and Kα2)), based on a cell relaxed with PBE.
No peak broadening, texture or thermal motion is included.

Main lines, sorted by position (15° ≤ 2θ ≤ 90°):
d_spacing	2theta	Rel. int.	(hkl)
2.937	30.43	100	1 0 2
2.883	31.02	43	1 1 0
2.117	42.70	9	0 0 4
2.039	44.43	24	2 0 0
1.707	53.71	25	1 1 4
1.675	54.81	39	2 1 2
1.469	63.32	12	2 0 4
1.116	87.36	11	2 1 6
1.101	88.85	12	3 1 4
1.093	89.75	10	3 2 2

Crystal structure
a b c (Å): 4.0777 4.0777 8.4697
angles (deg): 90.00 90.00 90.00
Space group P4/mmm (No. 123)
Asymmetric unit:
Gd 0.0000 0.0000 0.2411
Ho 0.5000 0.5000 0.0000
Ho 0.5000 0.5000 0.5000
O 0.0000 0.0000 0.5000
O 0.0000 0.5000 0.1494

---

Entry 9:
Pr2GdMg4In2: simulated X-ray powder pattern (Cu Kα (weighted mean of Kα1 and Kα2)), based on a cell relaxed with PBE.
No peak broadening, texture or thermal motion is included.

Main lines, sorted by position (15° ≤ 2θ ≤ 90°):
d_spacing	2theta	Rel. int.	(hkl)
3.842	23.15	17	0 3 1
3.015	29.63	45	1 0 2
2.995	29.83	100	1 3 1
2.744	32.63	88	1 2 2
2.725	32.87	47	1 4 0
2.541	35.33	16	0 1 3
2.391	37.61	37	2 0 0
2.233	40.40	19	0 3 3
1.736	52.73	21	1 2 4
1.469	63.30	15	2 2 4

Crystal structure
a b c (Å): 4.7828 13.2646 7.7664
angles (deg): 90.00 90.00 90.00
Space group Amm2 (No. 38)
Asymmetric unit:
Pr 0.0000 0.2141 0.0000
Gd 0.0000 0.0000 0.3535
Mg 0.0000 0.0000 0.7774
Mg 0.5000 0.0000 0.0257
Mg 0.5000 0.1218 0.6616
In 0.5000 0.1639 0.2863

---

Entry 10:
Cu3OsSe2S2: simulated X-ray powder pattern (Cu Kα (weighted mean of Kα1 and Kα2)), based on a cell relaxed with PBE.
No peak broadening, texture or thermal motion is included.

Main lines, sorted by position (15° ≤ 2θ ≤ 90°):
d_spacing	2theta	Rel. int.	(hkl)
5.594	15.84	100	0 0 1
4.026	22.08	10	0 2 0
3.953	22.49	11	1 1 1
3.265	27.31	17	0 2 1
3.196	27.92	10	2 0 1
2.500	35.92	34	2 2 1
2.473	36.33	10	3 1 0
2.013	45.03	12	0 4 0
1.977	45.91	46	2 2 2
1.949	46.60	11	4 0 0

Crystal structure
a b c (Å): 7.7957 8.0526 5.5806
angles (deg): 90.00 90.00 90.00
Space group Cmm2 (No. 35)
Asymmetric unit:
Cu 0.0000 0.0000 0.0000
Cu 0.2500 0.2500 0.5220
Os 0.0000 0.0000 0.4949
Se 0.2427 0.5000 0.2592
S 0.0000 0.2256 0.7380

---

Entry 11:
Dy4CCl4F: simulated X-ray powder pattern (Cu Kα (weighted mean of Kα1 and Kα2)), based on a cell relaxed with PBE.
No peak broadening, texture or thermal motion is included.

Main lines, sorted by position (15° ≤ 2θ ≤ 90°):
d_spacing	2theta	Rel. int.	(hkl)
3.199	27.89	22	1 1 -1
3.022	29.56	24	2 0 2
3.004	29.74	70	3 1 0
2.737	32.72	49	6 0 0
2.655	33.76	26	3 1 1
2.546	35.25	100	1 1 -2
2.425	37.08	43	6 0 -2
1.868	48.75	32	5 1 2
1.861	48.95	27	7 1 -2
1.378	68.04	19	12 0 -2

Crystal structure
a b c (Å): 16.7980 3.5903 7.2230
angles (deg): 90.00 102.11 90.00
Space group C2/m (No. 12)
Asymmetric unit:
Dy 0.0026 0.0000 0.2688
Dy 0.1455 0.5000 0.5822
C 0.0000 0.5000 0.5000
Cl 0.1614 0.0000 0.8637
Cl 0.1727 0.0000 0.3178
F 0.0000 0.5000 0.0000

---

Entry 12:
NbIBrClO: simulated X-ray powder pattern (Cu Kα (weighted mean of Kα1 and Kα2)), based on a cell relaxed with PBE.
No peak broadening, texture or thermal motion is included.

Main lines, sorted by position (15° ≤ 2θ ≤ 90°):
d_spacing	2theta	Rel. int.	(hkl)
3.792	23.46	100	1 1 0
3.764	23.64	66	1 1 -1
3.059	29.20	62	2 0 -4
3.042	29.36	68	4 0 0
2.988	29.90	30	3 1 -2
2.874	31.12	28	1 1 2
2.400	37.48	36	4 0 -5
2.091	43.26	34	3 1 -5
2.078	43.56	35	5 1 0
1.670	54.99	36	4 2 0

Crystal structure
a b c (Å): 14.1232 3.9912 12.2786
angles (deg): 90.00 120.51 90.00
Space group C2 (No. 5)
Asymmetric unit:
Nb 0.1326 0.0000 0.2056
I 0.1063 0.0652 0.9543
Br 0.1074 0.0562 0.3886
Cl 0.1806 0.5555 0.7150
O 0.1246 0.5483 0.1940

---

Copy entry 12 word for word.
NbIBrClO: simulated X-ray powder pattern (Cu Kα (weighted mean of Kα1 and Kα2)), based on a cell relaxed with PBE.
No peak broadening, texture or thermal motion is included.

Main lines, sorted by position (15° ≤ 2θ ≤ 90°):
d_spacing	2theta	Rel. int.	(hkl)
3.792	23.46	100	1 1 0
3.764	23.64	66	1 1 -1
3.059	29.20	62	2 0 -4
3.042	29.36	68	4 0 0
2.988	29.90	30	3 1 -2
2.874	31.12	28	1 1 2
2.400	37.48	36	4 0 -5
2.091	43.26	34	3 1 -5
2.078	43.56	35	5 1 0
1.670	54.99	36	4 2 0

Crystal structure
a b c (Å): 14.1232 3.9912 12.2786
angles (deg): 90.00 120.51 90.00
Space group C2 (No. 5)
Asymmetric unit:
Nb 0.1326 0.0000 0.2056
I 0.1063 0.0652 0.9543
Br 0.1074 0.0562 0.3886
Cl 0.1806 0.5555 0.7150
O 0.1246 0.5483 0.1940

---

Repeat the fourth record exactly.
AgPdSO: simulated X-ray powder pattern (Cu Kα (weighted mean of Kα1 and Kα2)), based on a cell relaxed with PBE.
No peak broadening, texture or thermal motion is included.

Main lines, sorted by position (15° ≤ 2θ ≤ 90°):
d_spacing	2theta	Rel. int.	(hkl)
3.490	25.52	24	0 2 0
3.022	29.56	43	1 2 0
2.908	30.74	34	0 0 2
2.681	33.42	100	2 0 1
2.234	40.37	17	0 2 2
2.126	42.53	27	2 2 1
2.095	43.18	39	1 2 2
1.670	54.97	20	3 2 1
1.632	56.39	18	2 0 3
1.611	57.19	19	1 4 1

Crystal structure
a b c (Å): 6.0396 6.9803 5.8165
angles (deg): 90.00 90.00 90.00
Space group Pca2_1 (No. 29)
Asymmetric unit:
Ag 0.1811 0.1557 0.0000
Pd 0.1177 0.6990 0.0719
S 0.0176 0.5899 0.7096
O 0.1903 0.8847 0.3705